(1)
Structure and calculated powder diffractogram of Ce2InSi2Rh5 (a crystal structure in Alexandria, relaxed with GGA-PBE; λ = 1.5418 Å (Cu Kα)).
Lines closer than 0.1° are merged.

Cell and atoms:
Cell lengths 9.9591, 9.9591, 3.5430 Å; angles 90.00, 90.00, 90.00 degrees
Space group P4/mbm (No. 127)
Symmetry-distinct sites (fractional):
Ce 0.1775 0.3225 0.0000 x4
In 0.0000 0.0000 0.0000 x2
Si 0.1204 0.6204 0.0000 x4
Rh 0.0000 0.5000 0.5000 x2
Rh 0.0694 0.7795 0.5000 x8

Most intense lines, 15° ≤ 2θ ≤ 90°, by intensity:
hkl 3 1 1, 2θ 38.24, I = 100.0
hkl 4 1 0, 2θ 37.22, I = 66.6
hkl 2 1 1, 2θ 32.29, I = 60.8
hkl 2 2 1, 2θ 35.96, I = 38.3
hkl 3 2 1, 2θ 41.45, I = 33.6
hkl 4 2 0, 2θ 40.51, I = 31.4
hkl 4 1 2, 2θ 65.32, I = 25.1
hkl 0 0 2, 2θ 51.59, I = 23.6
hkl 5 4 1, 2θ 65.55, I = 16.8
hkl 6 0 1, 2θ 61.71, I = 16.2

(2)
Structure and calculated powder diffractogram of SbH7Rh3 (a crystal structure in Alexandria, relaxed with GGA-PBE; λ = 1.5418 Å (Cu Kα)).
Lines closer than 0.1° are merged.

Cell and atoms:
Cell lengths 10.3205, 7.3212, 5.5224 Å; angles 90.00, 109.47, 90.00 degrees
Space group C2/c (No. 15)
Symmetry-distinct sites (fractional):
Sb 0.2500 0.2500 0.0000 x4
H 0.0000 0.1634 0.2500 x4
H 0.0214 0.3768 0.9531 x8
H 0.1051 0.0686 0.6216 x8
H 0.1551 0.3238 0.4445 x8
Rh 0.0000 0.4345 0.2500 x4
Rh 0.1734 0.0837 0.3668 x8

Most intense lines, 15° ≤ 2θ ≤ 90°, by intensity:
hkl 1 3 -1, 2θ 40.59, I = 100.0
hkl 3 1 0, 2θ 30.14, I = 75.8
hkl 2 0 -2, 2θ 33.18, I = 55.9
hkl 2 2 1, 2θ 38.19, I = 32.9
hkl 2 0 0, 2θ 18.23, I = 28.4
hkl 1 1 1, 2θ 25.07, I = 28.0
hkl 4 2 -1, 2θ 43.19, I = 21.6
hkl 2 4 1, 2θ 58.65, I = 18.5
hkl 2 2 0, 2θ 30.56, I = 16.6
hkl 0 2 2, 2θ 42.62, I = 15.4

(3)
Structure and calculated powder diffractogram of SbSe2Cl5 (a crystal structure in Alexandria, relaxed with GGA-PBE; λ = 1.5418 Å (Cu Kα)).
Lines closer than 0.1° are merged.

Cell and atoms:
Cell lengths 12.2776, 10.6036, 5.1116 Å; angles 90.00, 114.54, 90.00 degrees
Space group Cm (No. 8)
Symmetry-distinct sites (fractional):
Sb 0.0000 0.0000 0.0000 x2
Se 0.9998 0.5000 0.2776 x2
Se 0.9999 0.5000 0.7065 x2
Cl 0.1524 0.1602 0.1511 x4
Cl 0.3480 0.3394 0.8475 x4
Cl 0.4994 0.5000 0.4987 x2

Most intense lines, 15° ≤ 2θ ≤ 90°, by intensity:
hkl 2 2 0, 2θ 23.13, I = 100.0
hkl 2 0 0, 2θ 15.87, I = 75.1
hkl 0 2 0, 2θ 16.72, I = 59.5
hkl 1 1 -2, 2θ 37.07, I = 58.9
hkl 1 1 -1, 2θ 19.28, I = 53.4
hkl 1 3 2, 2θ 50.42, I = 36.8
hkl 4 2 0, 2θ 36.36, I = 34.8
hkl 2 4 0, 2θ 37.56, I = 29.7
hkl 0 0 1, 2θ 19.09, I = 25.1
hkl 4 4 0, 2θ 47.28, I = 17.8